[1]
The following is a calculated powder X-ray diffraction pattern of SrAu3. It was derived from a DFT-relaxed cell (PBE, Alexandria), using Cu Kα (λ = 1.5418 Å).
No peak broadening, texture or thermal motion is included.

```
data_SrAu3
_chemical_formula_sum 'Sr4 Au12'
_cell_length_a 8.230
_cell_length_b 7.891
_cell_length_c 5.825
_cell_angle_alpha 90.00
_cell_angle_beta 90.00
_cell_angle_gamma 90.00
_space_group_name_H-M_alt 'P n m a'
_space_group_IT_number 62
loop_
_space_group_symop_operation_xyz
'x,y,z'
'-x,-y,-z'
'-x+1/2,-y,z+1/2'
'x+1/2,y,-z+1/2'
'x+1/2,-y+1/2,-z+1/2'
'-x+1/2,y+1/2,z+1/2'
'-x,y+1/2,-z'
'x,-y+1/2,z'
loop_
_atom_site_label
_atom_site_fract_x
_atom_site_fract_y
_atom_site_fract_z
Sr1 0.035 0.250 0.122
Au1 0.119 0.750 0.369
Au2 0.178 0.057 0.588
```

Most intense lines, 5 to 70 degrees two-theta, most intense first:
39.14 deg, 2.302 Å, rel. 100; 36.19 deg, 2.482 Å, rel. 96; 40.01 deg, 2.254 Å, rel. 87; 35.07 deg, 2.559 Å, rel. 84; 34.59 deg, 2.593 Å, rel. 82; 18.66 deg, 4.755 Å, rel. 74; 40.71 deg, 2.216 Å, rel. 61; 18.94 deg, 4.686 Å, rel. 52

[2]
The following is a calculated powder X-ray diffraction pattern of Sr3Au8. It was derived from a DFT-relaxed cell (PBE, Alexandria), using Cu Kα (λ = 1.5418 Å).
No peak broadening, texture or thermal motion is included.

```
data_Sr3Au8
_chemical_formula_sum 'Sr6 Au16'
_cell_length_a 4.061
_cell_length_b 4.547
_cell_length_c 29.883
_cell_angle_alpha 90.00
_cell_angle_beta 90.00
_cell_angle_gamma 90.00
_space_group_name_H-M_alt 'I m m m'
_space_group_IT_number 71
_space_group_name_Hall '-I 2 2'
loop_
_atom_site_label
_atom_site_fract_x
_atom_site_fract_y
_atom_site_fract_z
Sr1 0.000 0.000 0.000
Sr2 0.000 0.500 0.146
Au1 0.000 0.000 0.255
Au2 0.000 0.000 0.454
Au3 0.000 0.500 0.312
Au4 0.000 0.500 0.403
```

Most intense lines, 5 to 70 degrees two-theta, most intense first:
31.88 deg, 2.807 Å, rel. 100; 38.61 deg, 2.332 Å, rel. 55; 42.49 deg, 2.127 Å, rel. 55; 22.09 deg, 4.024 Å, rel. 46; 39.64 deg, 2.274 Å, rel. 40; 30.38 deg, 2.942 Å, rel. 35; 60.45 deg, 1.531 Å, rel. 30; 44.62 deg, 2.031 Å, rel. 29

[3]
The following is a calculated powder X-ray diffraction pattern of Sr7Au5. It was derived from a DFT-relaxed cell (PBE, Alexandria), using Cu Kα (λ = 1.5418 Å).
No peak broadening, texture or thermal motion is included.

```
data_Sr7Au5
_chemical_formula_sum 'Sr14 Au10'
_cell_length_a 14.896
_cell_length_b 4.386
_cell_length_c 13.571
_cell_angle_alpha 90.00
_cell_angle_beta 105.13
_cell_angle_gamma 90.00
_space_group_name_H-M_alt 'C 1 2/m 1'
_space_group_IT_number 12
loop_
_space_group_symop_operation_xyz
'x,y,z'
'-x,-y,-z'
'-x,y,-z'
'x,-y,z'
'x+1/2,y+1/2,z'
'-x+1/2,-y+1/2,-z'
'-x+1/2,y+1/2,-z'
'x+1/2,-y+1/2,z'
loop_
_atom_site_label
_atom_site_fract_x
_atom_site_fract_y
_atom_site_fract_z
Sr1 0.000 0.000 0.000
Sr2 0.038 0.500 0.284
Sr3 0.156 0.000 0.548
Sr4 0.243 0.000 0.856
Au1 0.000 0.500 0.500
Au2 0.117 0.500 0.923
Au3 0.201 0.000 0.310
```

Most intense lines, 5 to 70 degrees two-theta, most intense first:
28.53 deg, 3.128 Å, rel. 100; 20.59 deg, 4.314 Å, rel. 90; 29.58 deg, 3.020 Å, rel. 82; 20.86 deg, 4.258 Å, rel. 80; 27.20 deg, 3.279 Å, rel. 76; 41.16 deg, 2.193 Å, rel. 60; 36.05 deg, 2.491 Å, rel. 54; 40.42 deg, 2.232 Å, rel. 47